# 1
This entry pairs a crystal structure of Li4ZnP2S8 with its computed PXRD pattern. Radiation: λ = 1.5418 Å (Cu Kα). Structure: the GGA-PBE geometry in the Materials Project.
Intensities are scaled so that the largest is 100.

Structure:
Lattice parameters (Å, degrees): 6.1452 10.3585 10.3868 101.24 103.13 93.06
Space group P1 (No. 1)
Unique sites:
Li  0.0000  0.0000  0.0000
Li  0.0046  0.3090  0.9734
Li  0.1783  0.3021  0.3546
Li  0.2467  0.7718  0.5036
Li  0.3855  0.1407  0.7544
Li  0.5026  0.5227  0.0026
Li  0.6049  0.5521  0.3407
Li  0.7665  0.2609  0.5206
Zn  0.6408  0.8993  0.2581
Zn  0.8947  0.6417  0.7560
P  0.0915  0.7062  0.1356
P  0.3319  0.4615  0.6365
P  0.5674  0.2091  0.1316
P  0.8066  0.9461  0.6318
S  0.0284  0.0661  0.7939
S  0.0336  0.4356  0.6982
S  0.1007  0.7769  0.9643
S  0.2088  0.5246  0.1281
S  0.2377  0.1954  0.1431
S  0.2817  0.8480  0.2949
S  0.2876  0.5341  0.4636
S  0.4092  0.2713  0.5834
S  0.5045  0.9304  0.6744
S  0.5429  0.5900  0.7985
S  0.5969  0.2904  0.9689
S  0.6618  0.0194  0.0897
S  0.7642  0.3301  0.3052
S  0.7721  0.6906  0.1767
S  0.8414  0.0276  0.4678
S  0.8998  0.7535  0.5800

Largest 6 diffraction maxima, low angle first, 15° ≤ 2θ ≤ 90°:
hkl	2theta	I/Imax
0 2 -1	17.94	100.0
1 1 0	18.05	33.2
1 -3 0	29.06	91.1
2 0 -1	29.16	50.1
1 1 2	29.27	43.6
-3 3 1	50.78	27.5

# 2
This entry pairs a crystal structure of Li4ZnP2S8 with its computed PXRD pattern. Radiation: λ = 1.5418 Å (Cu Kα). Structure: the GGA-PBE geometry in the Materials Project.
Intensities are scaled so that the largest is 100.

Structure:
Lattice parameters (Å, degrees): 5.7467 9.5473 11.5290 90.08 90.11 90.02
Space group P1 (No. 1)
Unique sites:
Li  0.0000  0.0000  0.0000
Li  0.0016  0.2624  0.2471
Li  0.0035  0.2398  0.7429
Li  0.0062  0.7422  0.2476
Li  0.4977  0.7439  0.9963
Li  0.4992  0.4978  0.7384
Li  0.5040  0.7575  0.4910
Li  0.9957  0.7562  0.7430
Zn  0.4980  0.2425  0.4930
Zn  0.5050  0.2561  0.9955
P  0.0056  0.5014  0.9890
P  0.5008  0.9986  0.7481
P  0.5025  0.0013  0.2424
P  0.9974  0.4980  0.4990
S  0.2075  0.6085  0.3943
S  0.2135  0.6149  0.8788
S  0.2172  0.3719  0.6034
S  0.2185  0.3825  0.0951
S  0.2847  0.8854  0.1375
S  0.2895  0.1209  0.3480
S  0.2901  0.1219  0.8585
S  0.2899  0.8849  0.6454
S  0.7058  0.1196  0.6404
S  0.7159  0.1270  0.1340
S  0.7173  0.8855  0.8552
S  0.7196  0.8902  0.3429
S  0.7802  0.3785  0.3955
S  0.7864  0.3763  0.8833
S  0.7873  0.6146  0.6066
S  0.8018  0.6148  0.0950

Largest 6 diffraction maxima, low angle first, 15° ≤ 2θ ≤ 90°:
hkl	2theta	I/Imax
0 0 2	15.39	10.7
0 1 -2	18.00	61.1
-1 2 2	28.83	100.0
1 -1 4	36.14	12.2
2 0 4	44.52	20.4
2 -4 0	49.61	24.1

# 3
This entry pairs a crystal structure of Li4ZnP2S8 with its computed PXRD pattern. Radiation: λ = 1.5418 Å (Cu Kα). Structure: the GGA-PBE geometry in the Materials Project.
Intensities are scaled so that the largest is 100.

Structure:
Lattice parameters (Å, degrees): 6.3771 8.0044 18.4279 90.02 90.22 90.23
Space group P1 (No. 1)
Unique sites:
Li  0.0000  0.0000  0.0000
Li  0.0000  0.4762  0.3393
Li  0.3753  0.4952  0.1666
Li  0.3795  0.9781  0.1696
Li  0.3822  0.4915  0.8368
Li  0.3838  0.9765  0.5033
Li  0.5418  0.7339  0.6746
Li  0.5451  0.7401  0.0056
Li  0.8305  0.2471  0.1756
Li  0.9888  0.0121  0.6669
Li  0.9931  0.4818  0.6660
Li  0.9959  0.4836  0.0003
Zn  0.3838  0.9991  0.8334
Zn  0.3881  0.4802  0.5011
Zn  0.9931  0.9819  0.3366
P  0.4995  0.2270  0.3360
P  0.5114  0.2344  0.0012
P  0.5151  0.2500  0.6702
P  0.8618  0.7346  0.1701
P  0.8892  0.7353  0.4998
P  0.8907  0.7492  0.8318
S  0.0108  0.9547  0.2076
S  0.0120  0.5355  0.8703
S  0.0131  0.9503  0.5364
S  0.0155  0.5256  0.2075
S  0.0249  0.5137  0.5331
S  0.0250  0.9695  0.8683
S  0.3546  0.0119  0.3717
S  0.3563  0.4581  0.7047
S  0.3615  0.0289  0.7044
S  0.3635  0.0217  0.0373
S  0.3643  0.4498  0.0345
S  0.3777  0.4498  0.3729
S  0.4754  0.2372  0.2247
S  0.5089  0.2359  0.5575
S  0.5281  0.2374  0.8886
S  0.5648  0.7350  0.2064
S  0.5750  0.7549  0.8676
S  0.5772  0.7224  0.5394
S  0.8046  0.2484  0.7134
S  0.8056  0.2207  0.3739
S  0.8121  0.2391  0.0418
S  0.8692  0.7329  0.3878
S  0.8971  0.7420  0.0585
S  0.8992  0.7486  0.7202

Largest 6 diffraction maxima, low angle first, 15° ≤ 2θ ≤ 90°:
hkl	2theta	I/Imax
1 -1 0	17.78	79.0
0 1 3	18.20	65.6
1 -2 0	26.29	100.0
2 0 0	27.98	65.7
0 0 6	29.07	94.7
1 -2 3	30.09	68.8

# 4
This entry pairs a crystal structure of Li4ZnP2S8 with its computed PXRD pattern. Radiation: λ = 1.5418 Å (Cu Kα). Structure: the GGA-PBE geometry in the Materials Project.
Intensities are scaled so that the largest is 100.

Structure:
Lattice parameters (Å, degrees): 6.2522 10.2836 10.3259 101.79 95.21 100.07
Space group P1 (No. 1)
Unique sites:
Li  0.0000  0.0000  0.0000
Li  0.0544  0.1205  0.6974
Li  0.2744  0.5050  0.7459
Li  0.4802  0.9798  0.4929
Li  0.5832  0.1302  0.1753
Li  0.6427  0.2597  0.8636
Li  0.7789  0.5147  0.2501
Li  0.8729  0.7416  0.6356
Zn  0.1439  0.2568  0.3691
Zn  0.3729  0.7450  0.1218
P  0.1950  0.3787  0.0575
P  0.4424  0.8841  0.8182
P  0.7044  0.3625  0.5552
P  0.9399  0.8762  0.3124
S  0.0414  0.8308  0.1270
S  0.1303  0.9227  0.7937
S  0.1344  0.0499  0.4404
S  0.2194  0.2118  0.1461
S  0.2900  0.3269  0.8717
S  0.3986  0.5417  0.1887
S  0.4020  0.4172  0.5272
S  0.4567  0.7183  0.9027
S  0.5400  0.8301  0.6363
S  0.6274  0.9224  0.2785
S  0.6487  0.0525  0.9406
S  0.6918  0.1916  0.6305
S  0.8024  0.3248  0.3626
S  0.8898  0.4166  0.0409
S  0.8968  0.5225  0.6839
S  0.9552  0.7234  0.4039

Largest 6 diffraction maxima, low angle first, 15° ≤ 2θ ≤ 90°:
hkl	2theta	I/Imax
1 0 1	17.96	100.0
1 0 -3	28.74	39.5
2 -1 0	28.86	80.3
0 3 -2	28.94	40.1
2 -4 2	44.35	16.8
3 1 1	49.87	37.4

# 5
This entry pairs a crystal structure of Li10ZnP4S16 with its computed PXRD pattern. Radiation: λ = 1.5418 Å (Cu Kα). Structure: the GGA-PBE geometry in the Materials Project.
Intensities are scaled so that the largest is 100.

Structure:
Lattice parameters (Å, degrees): 6.1618 7.7779 13.0588 89.56 89.91 89.90
Space group P1 (No. 1)
Unique sites:
Li  0.0000  0.0000  0.0000
Li  0.9999  0.4793  0.5018
Li  0.0067  0.9922  0.5091
Li  0.0136  0.4906  0.0025
Li  0.4946  0.2175  0.4231
Li  0.4994  0.9744  0.1841
Li  0.5008  0.2276  0.9048
Li  0.5058  0.4885  0.1843
Li  0.9937  0.7366  0.2714
Li  0.9958  0.7786  0.7643
Zn  0.4982  0.5054  0.6896
P  0.0068  0.2350  0.2540
P  0.5054  0.7404  0.4387
P  0.5107  0.7360  0.9290
P  0.9977  0.2542  0.7508
S  0.3349  0.2410  0.7333
S  0.3411  0.2319  0.2509
S  0.3935  0.7289  0.2901
S  0.3939  0.9520  0.0011
S  0.3981  0.9444  0.5181
S  0.3988  0.5120  0.5117
S  0.4064  0.5145  0.0002
S  0.4070  0.7574  0.7779
S  0.8396  0.7386  0.4406
S  0.8444  0.7424  0.9351
S  0.8601  0.0533  0.6802
S  0.8890  0.4852  0.6828
S  0.8949  0.0193  0.1801
S  0.8956  0.2330  0.4024
S  0.9003  0.4552  0.1808
S  0.9033  0.2521  0.9017

Largest 6 diffraction maxima, low angle first, 15° ≤ 2θ ≤ 90°:
hkl	2theta	I/Imax
1 -1 0	18.37	81.1
0 2 -2	26.77	57.8
0 0 4	27.32	57.8
2 0 0	28.98	100.0
-1 2 2	30.36	54.9
1 0 4	30.99	52.0

# 6
This entry pairs a crystal structure of Li4ZnP2S8 with its computed PXRD pattern. Radiation: λ = 1.5418 Å (Cu Kα). Structure: the GGA-PBE geometry in the Materials Project.
Intensities are scaled so that the largest is 100.

Structure:
Lattice parameters (Å, degrees): 6.4067 7.9309 18.4427 89.87 89.82 89.65
Space group P1 (No. 1)
Unique sites:
Li  0.0000  0.0000  0.0000
Li  0.0008  0.4677  0.6748
Li  0.0048  0.4783  0.3384
Li  0.0055  0.9819  0.3380
Li  0.0103  0.9851  0.6724
Li  0.3752  0.9765  0.1679
Li  0.3785  0.4965  0.1691
Li  0.3854  0.5012  0.8365
Li  0.5387  0.7518  0.6614
Li  0.5406  0.7426  0.3374
Li  0.8310  0.2269  0.1687
Li  0.8318  0.1914  0.5013
Zn  0.3853  0.4757  0.5050
Zn  0.3903  0.9941  0.8384
Zn  0.9928  0.4919  0.0027
P  0.5009  0.2484  0.0030
P  0.5067  0.2390  0.3383
P  0.5105  0.2245  0.6692
P  0.8588  0.7383  0.1680
P  0.8766  0.7195  0.5068
P  0.8910  0.7395  0.8393
S  0.0108  0.5168  0.1318
S  0.0127  0.9500  0.1318
S  0.0151  0.5213  0.8045
S  0.0210  0.4960  0.4709
S  0.0262  0.9233  0.4674
S  0.0297  0.9610  0.8052
S  0.3536  0.4651  0.9679
S  0.3621  0.0249  0.6268
S  0.3649  0.0261  0.2987
S  0.3667  0.4566  0.3015
S  0.3686  0.4516  0.6345
S  0.3769  0.0244  0.9665
S  0.4783  0.2176  0.4505
S  0.4812  0.2372  0.1144
S  0.5089  0.2407  0.7816
S  0.5666  0.7228  0.4731
S  0.5667  0.7365  0.1286
S  0.5818  0.7535  0.7983
S  0.8034  0.2545  0.9634
S  0.8133  0.2335  0.3044
S  0.8139  0.2269  0.6331
S  0.8671  0.7432  0.9511
S  0.8855  0.7310  0.2797
S  0.8912  0.7230  0.6183

Largest 6 diffraction maxima, low angle first, 15° ≤ 2θ ≤ 90°:
hkl	2theta	I/Imax
0 1 3	18.26	67.8
1 2 0	26.36	49.6
1 -2 0	26.51	51.6
2 0 0	27.86	70.9
0 0 6	29.05	100.0
1 2 -9	52.28	52.8